Structure and theoretical X-ray powder pattern of La2Th3O9 (a structure optimized by DFT (GGA-PBE); copper Kα).
Intensities are scaled so that the largest is 100.

Principal peaks in the range 2θ from 10° to 90°, in order of rising 2θ:
- 2θ 27.29, intensity 100
- 2θ 31.40, intensity 16
- 2θ 31.71, intensity 24
- 2θ 45.24, intensity 33
- 2θ 45.46, intensity 17
- 2θ 53.44, intensity 14
- 2θ 53.83, intensity 31
- 2θ 72.71, intensity 12

Structure:
Cell: 14.519 14.519 14.519 Å, 164.20 164.20 22.41°
Fractional coordinates of all 14 atoms:
La  0.193  0.193  0.000
La  0.807  0.807  0.000
Th  0.000  0.000  0.000
Th  0.401  0.401  0.000
Th  0.599  0.599  0.000
O  0.052  0.552  0.500
O  0.153  0.653  0.500
O  0.347  0.847  0.500
O  0.448  0.948  0.500
O  0.546  0.046  0.500
O  0.643  0.143  0.500
O  0.750  0.250  0.500
O  0.857  0.357  0.500
O  0.954  0.454  0.500

***

Structure and theoretical X-ray powder pattern of LaTi2O6 (a structure optimized by DFT (GGA-PBE); copper Kα).
Intensities are scaled so that the largest is 100.

Principal peaks in the range 2θ from 10° to 90°, in order of rising 2θ:
- 2θ 11.06, intensity 100
- 2θ 25.68, intensity 71
- 2θ 32.27, intensity 66
- 2θ 32.91, intensity 33
- 2θ 40.07, intensity 19
- 2θ 47.23, intensity 30
- 2θ 47.74, intensity 24
- 2θ 58.36, intensity 24

Structure:
Cell: 3.849 3.849 8.002 Å, 90.00 90.00 90.00°
Fractional coordinates of all 9 atoms:
La  0.000  0.000  0.000
Ti  0.500  0.500  0.272
Ti  0.500  0.500  0.728
O  0.000  0.500  0.223
O  0.000  0.500  0.777
O  0.500  0.000  0.223
O  0.500  0.000  0.777
O  0.500  0.500  0.000
O  0.500  0.500  0.500

***

Structure and theoretical X-ray powder pattern of La4Ti3O12 (a structure optimized by DFT (GGA-PBE); copper Kα).
Intensities are scaled so that the largest is 100.

Principal peaks in the range 2θ from 10° to 90°, in order of rising 2θ:
- 2θ 22.16, intensity 38
- 2θ 22.38, intensity 82
- 2θ 31.20, intensity 40
- 2θ 31.40, intensity 65
- 2θ 31.58, intensity 64
- 2θ 31.81, intensity 44
- 2θ 32.27, intensity 100
- 2θ 45.68, intensity 55

Structure:
Cell: 5.556 5.736 7.954 Å, 91.45 90.84 90.58°
Fractional coordinates of all 19 atoms:
La  0.012  0.422  0.226
La  0.485  0.953  0.232
La  0.515  0.047  0.768
La  0.988  0.578  0.774
Ti  0.000  0.000  0.500
Ti  0.500  0.500  0.000
Ti  0.500  0.500  0.500
O  0.096  0.981  0.726
O  0.213  0.670  0.045
O  0.224  0.711  0.450
O  0.283  0.220  0.450
O  0.330  0.212  0.038
O  0.416  0.484  0.743
O  0.584  0.516  0.257
O  0.670  0.788  0.962
O  0.717  0.780  0.550
O  0.776  0.289  0.550
O  0.787  0.330  0.955
O  0.904  0.019  0.274